# 1
Starting from a cell relaxed with PBE, the powder diffractogram of Tb3Pr8Nd4 was calculated for Cu Kα.

```
Tb3Pr8Nd4
1.0
3.567 2.060 12.162
-3.567 2.060 12.162
0.000 -4.119 12.162
Tb Pr Nd
3 8 4
direct
0.000 0.500 0.500
0.500 0.000 0.500
0.500 0.500 0.000
0.250 0.250 0.747
0.250 0.747 0.250
0.253 0.750 0.750
0.254 0.254 0.254
0.746 0.746 0.746
0.747 0.250 0.250
0.750 0.253 0.750
0.750 0.750 0.253
0.000 0.000 0.000
0.164 0.164 0.164
0.500 0.500 0.500
0.836 0.836 0.836
```

Peak list (12 most intense, 2θ = 10–80°, by angle)
d [Å]  I_rel
3.423  19
3.078  28
3.041  67
2.926  100
2.658  14
2.558  73
1.835  28
1.784  38
1.571  18
1.538  47
1.523  14
1.463  14



# 2
Starting from a cell relaxed with PBE, the powder diffractogram of Tb3PrNd7 was calculated for Cu Kα.

```
Tb3PrNd7
1.0
11.094 0.000 0.000
-5.547 9.607 0.000
0.000 0.000 3.638
Tb Pr Nd
3 1 7
direct
0.177 0.355 0.000
0.177 0.823 0.000
0.645 0.823 0.000
0.333 0.667 0.500
0.000 0.000 0.000
0.308 0.154 0.500
0.536 0.072 0.000
0.536 0.464 0.000
0.846 0.154 0.500
0.846 0.692 0.500
0.928 0.464 0.000
```

Peak list (12 most intense, 2θ = 10–80°, by angle)
d [Å]  I_rel
3.633  19
3.202  23
2.900  100
2.773  71
2.570  24
2.403  9
2.004  21
1.819  12
1.625  29
1.559  9
1.538  8
1.521  23



# 3
Starting from a cell relaxed with PBE, the powder diffractogram of Tb7PrNd4 was calculated for Cu Kα.

```
Tb7PrNd4
1.0
6.612 0.000 0.000
0.968 6.878 0.000
2.062 0.476 8.891
Tb Pr Nd
7 1 4
direct
0.000 0.000 0.000
0.194 0.597 0.383
0.313 0.207 0.646
0.487 0.751 0.049
0.513 0.249 0.951
0.687 0.793 0.354
0.806 0.403 0.617
0.000 0.500 0.000
0.166 0.104 0.314
0.358 0.704 0.712
0.642 0.296 0.288
0.834 0.896 0.686
```

Peak list (12 most intense, 2θ = 10–80°, by angle)
d [Å]  I_rel
2.964  45
2.911  46
2.879  60
2.866  59
2.836  12
2.817  100
2.776  14
2.122  15
2.013  14
1.971  15
1.718  15
1.635  18



# 4
Starting from a cell relaxed with PBE, the powder diffractogram of Tb7Pr2Nd was calculated for Cu Kα.

```
Tb7Pr2Nd
1.0
-2.760 3.547 8.473
2.760 -3.547 8.473
2.760 3.547 -8.473
Tb Pr Nd
7 2 1
direct
0.000 0.000 0.000
0.144 0.394 0.750
0.300 0.800 0.500
0.357 0.606 0.750
0.643 0.394 0.250
0.700 0.200 0.500
0.856 0.606 0.250
0.198 0.198 0.000
0.802 0.802 0.000
0.500 0.000 0.500
```

Peak list (12 most intense, 2θ = 10–80°, by angle)
d [Å]  I_rel
2.939  88
2.888  100
2.760  45
2.720  39
2.638  14
2.209  17
1.937  29
1.725  16
1.626  15
1.617  18
1.592  16
1.511  29



# 5
Starting from a cell relaxed with PBE, the powder diffractogram of Tb3Pr7Nd was calculated for Cu Kα.

```
Tb3Pr7Nd
1.0
11.235 0.000 0.000
-5.617 9.730 0.000
0.000 0.000 3.644
Tb Pr Nd
3 7 1
direct
0.181 0.363 0.000
0.181 0.819 0.000
0.637 0.819 0.000
0.000 0.000 0.500
0.330 0.165 0.000
0.514 0.028 0.500
0.514 0.486 0.500
0.835 0.165 0.000
0.835 0.670 0.000
0.972 0.486 0.500
0.333 0.667 0.500
```

Peak list (12 most intense, 2θ = 10–80°, by angle)
d [Å]  I_rel
3.677  10
3.057  21
2.916  84
2.809  100
2.588  23
2.423  11
2.023  25
1.822  11
1.642  23
1.622  15
1.528  32
1.211  12



# 6
Starting from a cell relaxed with PBE, the powder diffractogram of Tb3Pr3NdTe8 was calculated for Cu Kα.

```
Tb3Pr3NdTe8
1.0
4.430 2.557 7.272
-4.430 2.557 7.272
0.000 -5.115 7.272
Tb Pr Nd Te
3 3 1 8
direct
0.000 0.500 0.500
0.500 0.000 0.500
0.500 0.500 0.000
0.000 0.000 0.500
0.000 0.500 0.000
0.500 0.000 0.000
0.000 0.000 0.000
0.254 0.254 0.254
0.258 0.258 0.734
0.258 0.734 0.258
0.266 0.742 0.742
0.734 0.258 0.258
0.742 0.266 0.742
0.742 0.742 0.266
0.746 0.746 0.746
```

Peak list (12 most intense, 2θ = 10–80°, by angle)
d [Å]  I_rel
3.784  4
3.138  100
2.223  38
2.215  37
1.818  7
1.809  20
1.569  12
1.405  17
1.401  17
1.285  6
1.280  12
1.279  6